Entry 1:
Theoretical PXRD pattern of CuPdF6 for CuKα, from a crystal structure in the Materials Project, relaxed with GGA-PBE.
Peak positions follow from Bragg's law for the DFT cell and can differ from measured ones.

Cell and atoms:
abc: 4.9437 4.9895 9.6122
angles: 75.60 75.84 60.87
Space group P-1 (No. 2)
One atom of each set of equivalent atoms:
Cu (0.0000, 0.0000, 0.0000)
Cu (0.5000, 0.5000, 0.5000)
Pd (0.2315, 0.2777, 0.2499)
F (0.0404, 0.3497, 0.8758)
F (0.1433, 0.7513, 0.6244)
F (0.2148, 0.5427, 0.3767)
F (0.2545, 0.0039, 0.1251)
F (0.3996, 0.7047, 0.8737)
F (0.4956, 0.9104, 0.3725)

Most intense lines, 2θ from 10° to 90°, low angle first:
2θ/deg	I/Imax	h k l
24.11	100	0 1 -1
24.21	100	1 0 -1
24.59	96	1 1 2
33.14	72	1 1 -2
33.36	35	1 0 3
41.28	25	2 1 -1
44.10	28	2 2 0
53.93	31	1 2 -3
54.10	31	2 1 -3
57.31	15	1 0 -5


Entry 2:
Theoretical PXRD pattern of RbCuPdF5 for CuKα, from a crystal structure in the Materials Project, relaxed with GGA-PBE.
Peak positions follow from Bragg's law for the DFT cell and can differ from measured ones.

Cell and atoms:
abc: 6.3202 7.3756 10.9510
angles: 90.00 90.00 90.00
Space group Pnma (No. 62)
One atom of each set of equivalent atoms:
Rb (0.0248, 0.2500, 0.1444)
Cu (0.0000, 0.0000, 0.5000)
Pd (0.1961, 0.2500, 0.7937)
F (0.0331, 0.2500, 0.4377)
F (0.1686, 0.0535, 0.6707)
F (0.2173, 0.0616, 0.9261)

Most intense lines, 2θ from 10° to 90°, low angle first:
2θ/deg	I/Imax	h k l
14.48	22	0 1 1
27.26	28	0 1 3
28.23	52	1 0 3
29.20	100	0 2 2
30.78	40	2 1 0
31.87	79	2 1 1
32.72	21	2 0 2
43.59	20	1 2 4
49.43	17	0 4 0
50.58	42	2 2 4


Entry 3:
Theoretical PXRD pattern of Rb2CuPdF6 for CuKα, from a crystal structure in the Materials Project, relaxed with GGA-PBE.
Peak positions follow from Bragg's law for the DFT cell and can differ from measured ones.

Cell and atoms:
abc: 8.4965 8.4965 8.4965
angles: 90.00 90.00 90.00
Space group Fm-3m (No. 225)
One atom of each set of equivalent atoms:
Rb (0.2500, 0.2500, 0.2500)
Cu (0.0000, 0.0000, 0.0000)
Pd (0.0000, 0.0000, 0.5000)
F (0.0000, 0.0000, 0.2439)

Most intense lines, 2θ from 10° to 90°, low angle first:
2θ/deg	I/Imax	h k l
18.08	3	1 1 1
20.91	3	2 0 0
29.74	100	2 2 0
36.64	5	2 2 2
42.56	41	4 0 0
52.78	40	4 2 2
61.76	25	4 4 0
70.04	17	6 2 0
77.90	8	4 4 4
85.53	21	6 4 2


Entry 4:
Theoretical PXRD pattern of RbCuF3 for CuKα, from a crystal structure in the Materials Project, relaxed with GGA-PBE.
Peak positions follow from Bragg's law for the DFT cell and can differ from measured ones.

Cell and atoms:
abc: 6.1123 6.1123 8.0003
angles: 90.00 90.00 90.00
Space group I4/mcm (No. 140)
One atom of each set of equivalent atoms:
Rb (0.0000, 0.0000, 0.2500)
Cu (0.0000, 0.5000, 0.0000)
F (0.0000, 0.5000, 0.2500)
F (0.2195, 0.2805, 0.0000)

Most intense lines, 2θ from 10° to 90°, low angle first:
2θ/deg	I/Imax	h k l
29.22	57	2 0 0
30.45	100	1 1 2
37.02	17	2 0 2
41.80	47	2 2 0
45.34	19	0 0 4
52.59	39	3 1 2
54.86	19	2 0 4
60.60	14	4 0 0
63.36	24	2 2 4
78.82	12	4 0 4


Entry 5:
Theoretical PXRD pattern of RbCuF3 for CuKα, from a crystal structure in the Materials Project, relaxed with GGA-PBE.
Peak positions follow from Bragg's law for the DFT cell and can differ from measured ones.

Cell and atoms:
abc: 4.1412 4.1412 4.1412
angles: 90.00 90.00 90.00
Space group Pm-3m (No. 221)
One atom of each set of equivalent atoms:
Rb (0.0000, 0.0000, 0.0000)
Cu (0.5000, 0.5000, 0.5000)
F (0.0000, 0.5000, 0.5000)

Most intense lines, 2θ from 10° to 90°, low angle first:
2θ/deg	I/Imax	h k l
30.53	100	1 1 0
37.62	12	1 1 1
43.72	44	2 0 0
54.26	39	2 1 1
63.54	26	2 2 0
72.13	17	3 1 0
76.26	3	3 1 1
80.31	8	2 2 2
88.30	20	3 2 1


Entry 6:
Theoretical PXRD pattern of Rb2CuSbF6 for CuKα, from a crystal structure in the Materials Project, relaxed with GGA-PBE.
Peak positions follow from Bragg's law for the DFT cell and can differ from measured ones.

Cell and atoms:
abc: 8.9475 8.9475 8.9475
angles: 90.00 90.00 90.00
Space group Fm-3m (No. 225)
One atom of each set of equivalent atoms:
Rb (0.2500, 0.2500, 0.2500)
Cu (0.0000, 0.0000, 0.0000)
Sb (0.0000, 0.0000, 0.5000)
F (0.0000, 0.0000, 0.2515)

Most intense lines, 2θ from 10° to 90°, low angle first:
2θ/deg	I/Imax	h k l
17.17	6	1 1 1
19.85	4	2 0 0
28.21	100	2 2 0
40.32	41	4 0 0
49.93	41	4 2 2
58.34	26	4 4 0
66.04	18	6 2 0
73.30	8	4 4 4
80.30	21	6 4 2
87.15	4	8 0 0